No. 1
The following is a calculated PXRD pattern of Mg6MnCo. It was derived from a GGA-PBE-relaxed structure, using Cu Kα (weighted mean of Kα1 and Kα2).
No peak broadening, texture or thermal motion is included.

Cell and atoms:
Unit cell a=4.768 b=6.021 c=10.583 alpha=90.00 beta=90.00 gamma=90.00
Fractional coordinates of all 16 atoms:
Mg 0.000 0.000 0.000
Mg 0.000 0.236 0.254
Mg 0.000 0.264 0.754
Mg 0.000 0.500 0.500
Mg 0.000 0.736 0.754
Mg 0.000 0.764 0.254
Mg 0.500 0.000 0.832
Mg 0.500 0.240 0.577
Mg 0.500 0.260 0.077
Mg 0.500 0.500 0.332
Mg 0.500 0.740 0.077
Mg 0.500 0.760 0.577
Mn 0.000 0.000 0.484
Mn 0.000 0.500 0.984
Co 0.500 0.000 0.350
Co 0.500 0.500 0.850

Peak list (6 most intense, 10 to 90 degrees two-theta, in order of rising 2θ)
two_theta  d [Å]  I (rel.)
16.94  5.233  39.7
34.27  2.617  33.0
37.73  2.384  41.7
38.93  2.313  60.7
39.28  2.294  100.0
51.88  1.762  19.4



No. 2
The following is a calculated PXRD pattern of BaNdNb4O12. It was derived from a GGA-PBE-relaxed structure, using Cu Kα (weighted mean of Kα1 and Kα2).
No peak broadening, texture or thermal motion is included.

Cell and atoms:
Unit cell a=5.701 b=5.701 c=8.041 alpha=90.00 beta=90.00 gamma=90.11
Fractional coordinates of all 18 atoms:
Ba 0.000 0.000 0.000
Nd 0.500 0.500 0.500
Nb 0.000 0.500 0.252
Nb 0.000 0.500 0.748
Nb 0.500 0.000 0.252
Nb 0.500 0.000 0.748
O 0.000 0.500 0.000
O 0.000 0.500 0.500
O 0.247 0.753 0.260
O 0.247 0.753 0.740
O 0.266 0.266 0.262
O 0.266 0.266 0.738
O 0.500 0.000 0.000
O 0.500 0.000 0.500
O 0.734 0.734 0.262
O 0.734 0.734 0.738
O 0.753 0.247 0.260
O 0.753 0.247 0.740

Peak list (6 most intense, 10 to 90 degrees two-theta, in order of rising 2θ)
two_theta  d [Å]  I (rel.)
19.08  4.651  50.0
31.41  2.848  100.0
36.99  2.430  18.6
44.97  2.016  24.7
55.89  1.645  26.6
65.52  1.425  14.6



No. 3
The following is a calculated PXRD pattern of CrN2. It was derived from a GGA-PBE-relaxed structure, using Cu Kα (weighted mean of Kα1 and Kα2).
No peak broadening, texture or thermal motion is included.

Cell and atoms:
Unit cell a=5.660 b=5.660 c=9.194 alpha=90.00 beta=90.00 gamma=119.98
Fractional coordinates of all 12 atoms:
Cr 0.163 0.830 0.562
Cr 0.170 0.837 0.938
Cr 0.830 0.163 0.438
Cr 0.837 0.170 0.062
N 0.019 0.019 0.000
N 0.027 0.508 0.503
N 0.168 0.832 0.750
N 0.492 0.973 0.997
N 0.508 0.027 0.497
N 0.832 0.168 0.250
N 0.973 0.492 0.003
N 0.981 0.981 0.500

Peak list (6 most intense, 10 to 90 degrees two-theta, in order of rising 2θ)
two_theta  d [Å]  I (rel.)
18.10  4.902  100.0
19.31  4.597  56.2
20.53  4.325  58.9
26.58  3.353  27.2
31.61  2.830  47.4
34.52  2.599  34.8



No. 4
The following is a calculated PXRD pattern of Na2InAsF6. It was derived from a GGA-PBE-relaxed structure, using Cu Kα (weighted mean of Kα1 and Kα2).
No peak broadening, texture or thermal motion is included.

Cell and atoms:
Unit cell a=6.474 b=6.474 c=6.474 alpha=60.00 beta=60.00 gamma=60.00
Fractional coordinates of all 10 atoms:
Na 0.250 0.250 0.250
Na 0.750 0.750 0.750
In 0.000 0.000 0.000
As 0.500 0.500 0.500
F 0.274 0.274 0.726
F 0.274 0.726 0.274
F 0.274 0.726 0.726
F 0.726 0.274 0.274
F 0.726 0.274 0.726
F 0.726 0.726 0.274

Peak list (6 most intense, 10 to 90 degrees two-theta, in order of rising 2θ)
two_theta  d [Å]  I (rel.)
19.39  4.578  99.0
27.56  3.237  100.0
39.37  2.289  55.7
44.24  2.047  40.7
48.73  1.869  39.4
56.89  1.618  32.7



No. 5
The following is a calculated PXRD pattern of K3AsS4. It was derived from a GGA-PBE-relaxed structure, using Cu Kα (weighted mean of Kα1 and Kα2).
No peak broadening, texture or thermal motion is included.

Cell and atoms:
Unit cell a=9.256 b=9.522 c=10.815 alpha=90.00 beta=90.00 gamma=90.00
Fractional coordinates of all 32 atoms:
K 0.055 0.201 0.000
K 0.058 0.204 0.591
K 0.139 0.419 0.302
K 0.361 0.919 0.802
K 0.442 0.704 0.091
K 0.445 0.701 0.500
K 0.555 0.299 0.000
K 0.558 0.296 0.591
K 0.639 0.081 0.302
K 0.861 0.581 0.802
K 0.942 0.796 0.091
K 0.945 0.799 0.500
As 0.221 0.981 0.294
As 0.279 0.481 0.794
As 0.721 0.519 0.294
As 0.779 0.019 0.794
S 0.009 0.088 0.295
S 0.160 0.542 0.961
S 0.161 0.536 0.625
S 0.190 0.753 0.297
S 0.310 0.253 0.797
S 0.339 0.036 0.125
S 0.340 0.042 0.461
S 0.491 0.588 0.795
S 0.509 0.412 0.295
S 0.660 0.958 0.961
S 0.661 0.964 0.625
S 0.690 0.747 0.297
S 0.810 0.247 0.797
S 0.839 0.464 0.125
S 0.840 0.458 0.461
S 0.991 0.912 0.795

Peak list (6 most intense, 10 to 90 degrees two-theta, in order of rising 2θ)
two_theta  d [Å]  I (rel.)
15.67  5.657  100.0
24.92  3.573  31.1
25.33  3.516  31.9
26.87  3.318  29.2
30.91  2.893  29.3
31.46  2.844  59.2



Copy entry 5 word for word.
The following is a calculated PXRD pattern of K3AsS4. It was derived from a GGA-PBE-relaxed structure, using Cu Kα (weighted mean of Kα1 and Kα2).
No peak broadening, texture or thermal motion is included.

Cell and atoms:
Unit cell a=9.256 b=9.522 c=10.815 alpha=90.00 beta=90.00 gamma=90.00
Fractional coordinates of all 32 atoms:
K 0.055 0.201 0.000
K 0.058 0.204 0.591
K 0.139 0.419 0.302
K 0.361 0.919 0.802
K 0.442 0.704 0.091
K 0.445 0.701 0.500
K 0.555 0.299 0.000
K 0.558 0.296 0.591
K 0.639 0.081 0.302
K 0.861 0.581 0.802
K 0.942 0.796 0.091
K 0.945 0.799 0.500
As 0.221 0.981 0.294
As 0.279 0.481 0.794
As 0.721 0.519 0.294
As 0.779 0.019 0.794
S 0.009 0.088 0.295
S 0.160 0.542 0.961
S 0.161 0.536 0.625
S 0.190 0.753 0.297
S 0.310 0.253 0.797
S 0.339 0.036 0.125
S 0.340 0.042 0.461
S 0.491 0.588 0.795
S 0.509 0.412 0.295
S 0.660 0.958 0.961
S 0.661 0.964 0.625
S 0.690 0.747 0.297
S 0.810 0.247 0.797
S 0.839 0.464 0.125
S 0.840 0.458 0.461
S 0.991 0.912 0.795

Peak list (6 most intense, 10 to 90 degrees two-theta, in order of rising 2θ)
two_theta  d [Å]  I (rel.)
15.67  5.657  100.0
24.92  3.573  31.1
25.33  3.516  31.9
26.87  3.318  29.2
30.91  2.893  29.3
31.46  2.844  59.2